Theoretical powder diffractogram
Compound: Ga20SbMo4
Radiation: CuKα
Structure: DFT lattice parameters and positions (GGA-PBE)
Neutral-atom scattering factors, no anomalous dispersion.

Principal peaks in the range 2θ from 5° to 70°, in order of falling intensity:
- 2θ = 46.24°, d = 1.963 Å, intensity 100
- 2θ = 40.47°, d = 2.229 Å, intensity 96
- 2θ = 38.54°, d = 2.336 Å, intensity 83
- 2θ = 35.09°, d = 2.557 Å, intensity 65
- 2θ = 40.36°, d = 2.235 Å, intensity 57
- 2θ = 44.07°, d = 2.055 Å, intensity 48
- 2θ = 21.63°, d = 4.109 Å, intensity 41
- 2θ = 41.06°, d = 2.198 Å, intensity 38

Crystal structure
Unit cell a=9.5670 b=9.5670 c=9.5670 alpha=94.44 beta=94.44 gamma=147.68
Fractional positions:
Ga 0.0000 0.0000 0.5000
Ga 0.0000 0.5000 0.0000
Ga 0.0567 0.2100 0.2668
Ga 0.1128 0.8157 0.4284
Ga 0.1843 0.6126 0.2970
Ga 0.2100 0.9433 0.1533
Ga 0.3156 0.8872 0.7030
Ga 0.3650 0.4281 0.7931
Ga 0.3874 0.6844 0.5716
Ga 0.4281 0.6350 0.0631
Ga 0.5000 0.0000 0.0000
Ga 0.5000 0.5000 0.5000
Ga 0.5719 0.3650 0.9369
Ga 0.6126 0.3156 0.4284
Ga 0.6350 0.5719 0.2069
Ga 0.6844 0.1128 0.2970
Ga 0.7900 0.0567 0.8467
Ga 0.8157 0.3874 0.7030
Ga 0.8872 0.1843 0.5716
Ga 0.9433 0.7900 0.7332
Sb 0.0000 0.0000 0.0000
Mo 0.2322 0.5811 0.8133
Mo 0.4189 0.2322 0.6511
Mo 0.5811 0.7678 0.3489
Mo 0.7678 0.4189 0.1867



Theoretical powder diffractogram
Compound: Ga40SnMo8
Radiation: CuKα
Structure: DFT lattice parameters and positions (GGA-PBE)
Neutral-atom scattering factors, no anomalous dispersion.

Principal peaks in the range 2θ from 5° to 70°, in order of falling intensity:
- 2θ = 43.72°, d = 2.071 Å, intensity 100
- 2θ = 39.70°, d = 2.271 Å, intensity 99
- 2θ = 44.82°, d = 2.022 Å, intensity 97
- 2θ = 39.97°, d = 2.256 Å, intensity 93
- 2θ = 30.91°, d = 2.893 Å, intensity 73
- 2θ = 41.68°, d = 2.167 Å, intensity 69
- 2θ = 41.84°, d = 2.159 Å, intensity 60
- 2θ = 21.98°, d = 4.044 Å, intensity 45

Crystal structure
Unit cell a=9.5806 b=9.5806 c=9.5806 alpha=93.96 beta=93.96 gamma=93.96
Fractional positions:
Ga 0.0000 0.0000 0.0000
Ga 0.0000 0.0000 0.5000
Ga 0.0000 0.5000 0.0000
Ga 0.0272 0.2741 0.1712
Ga 0.0584 0.4240 0.7218
Ga 0.0956 0.2846 0.4633
Ga 0.1110 0.1337 0.7647
Ga 0.1337 0.7647 0.1110
Ga 0.1712 0.0272 0.2741
Ga 0.1896 0.6693 0.6226
Ga 0.2291 0.5418 0.3666
Ga 0.2353 0.8890 0.8663
Ga 0.2741 0.1712 0.0272
Ga 0.2782 0.9416 0.5760
Ga 0.2846 0.4633 0.0956
Ga 0.3307 0.3774 0.8104
Ga 0.3666 0.2291 0.5418
Ga 0.3774 0.8104 0.3307
Ga 0.4240 0.7218 0.0584
Ga 0.4582 0.6334 0.7709
Ga 0.4633 0.0956 0.2846
Ga 0.5000 0.0000 0.0000
Ga 0.5367 0.9044 0.7154
Ga 0.5418 0.3666 0.2291
Ga 0.5760 0.2782 0.9416
Ga 0.6226 0.1896 0.6693
Ga 0.6334 0.7709 0.4582
Ga 0.6693 0.6226 0.1896
Ga 0.7154 0.5367 0.9044
Ga 0.7218 0.0584 0.4240
Ga 0.7259 0.8288 0.9728
Ga 0.7647 0.1110 0.1337
Ga 0.7709 0.4582 0.6334
Ga 0.8104 0.3307 0.3774
Ga 0.8288 0.9728 0.7259
Ga 0.8663 0.2353 0.8890
Ga 0.8890 0.8663 0.2353
Ga 0.9044 0.7154 0.5367
Ga 0.9416 0.5760 0.2782
Ga 0.9728 0.7259 0.8288
Sn 0.5000 0.5000 0.5000
Mo 0.1116 0.7855 0.3886
Mo 0.2145 0.6114 0.8884
Mo 0.2827 0.2827 0.2827
Mo 0.3886 0.1116 0.7855
Mo 0.6114 0.8884 0.2145
Mo 0.7173 0.7173 0.7173
Mo 0.7855 0.3886 0.1116
Mo 0.8884 0.2145 0.6114



Theoretical powder diffractogram
Compound: GaSn2Mo2
Radiation: CuKα
Structure: DFT lattice parameters and positions (GGA-PBE)
Neutral-atom scattering factors, no anomalous dispersion.

Principal peaks in the range 2θ from 5° to 70°, in order of falling intensity:
- 2θ = 41.23°, d = 2.189 Å, intensity 100
- 2θ = 35.57°, d = 2.524 Å, intensity 83
- 2θ = 38.61°, d = 2.332 Å, intensity 78
- 2θ = 40.10°, d = 2.249 Å, intensity 74
- 2θ = 42.63°, d = 2.121 Å, intensity 68
- 2θ = 38.17°, d = 2.357 Å, intensity 63
- 2θ = 39.58°, d = 2.277 Å, intensity 50
- 2θ = 30.90°, d = 2.894 Å, intensity 50

Crystal structure
Unit cell a=10.0469 b=10.0469 c=6.9368 alpha=90.00 beta=90.00 gamma=147.36
Fractional positions:
Ga 0.2267 0.2733 0.2500
Ga 0.2733 0.2267 0.7500
Ga 0.7267 0.7733 0.2500
Ga 0.7733 0.7267 0.7500
Sn 0.1122 0.8878 0.4243
Sn 0.2193 0.7807 0.0845
Sn 0.2807 0.7193 0.5845
Sn 0.3878 0.6122 0.9243
Sn 0.6122 0.3878 0.0757
Sn 0.7193 0.2807 0.4155
Sn 0.7807 0.2193 0.9155
Sn 0.8878 0.1122 0.5757
Mo 0.0696 0.9304 0.0384
Mo 0.0851 0.4149 0.2500
Mo 0.4149 0.0851 0.7500
Mo 0.4304 0.5696 0.5384
Mo 0.5696 0.4304 0.4616
Mo 0.5851 0.9149 0.2500
Mo 0.9149 0.5851 0.7500
Mo 0.9304 0.0696 0.9616



Theoretical powder diffractogram
Compound: Ga20TeMo4
Radiation: CuKα
Structure: DFT lattice parameters and positions (GGA-PBE)
Neutral-atom scattering factors, no anomalous dispersion.

Principal peaks in the range 2θ from 5° to 70°, in order of falling intensity:
- 2θ = 40.38°, d = 2.234 Å, intensity 100
- 2θ = 46.22°, d = 1.964 Å, intensity 67
- 2θ = 35.12°, d = 2.556 Å, intensity 57
- 2θ = 38.48°, d = 2.339 Å, intensity 48
- 2θ = 43.97°, d = 2.059 Å, intensity 30
- 2θ = 21.58°, d = 4.118 Å, intensity 26
- 2θ = 39.11°, d = 2.303 Å, intensity 26
- 2θ = 40.99°, d = 2.202 Å, intensity 22

Crystal structure
Unit cell a=9.5854 b=9.5854 c=9.5854 alpha=94.42 beta=94.42 gamma=147.77
Fractional positions:
Ga 0.0000 0.0000 0.5000
Ga 0.0000 0.5000 0.0000
Ga 0.0565 0.2145 0.2709
Ga 0.1159 0.8145 0.4308
Ga 0.1855 0.6163 0.3014
Ga 0.2145 0.9435 0.1580
Ga 0.3149 0.8841 0.6986
Ga 0.3614 0.4265 0.7880
Ga 0.3837 0.6851 0.5692
Ga 0.4265 0.6386 0.0651
Ga 0.5000 0.0000 0.0000
Ga 0.5000 0.5000 0.5000
Ga 0.5735 0.3614 0.9349
Ga 0.6163 0.3149 0.4308
Ga 0.6386 0.5735 0.2120
Ga 0.6851 0.1159 0.3014
Ga 0.7855 0.0565 0.8420
Ga 0.8145 0.3837 0.6986
Ga 0.8841 0.1855 0.5692
Ga 0.9435 0.7855 0.7291
Te 0.0000 0.0000 0.0000
Mo 0.2341 0.5813 0.8154
Mo 0.4187 0.2341 0.6529
Mo 0.5813 0.7659 0.3471
Mo 0.7659 0.4187 0.1846



Theoretical powder diffractogram
Compound: TaNbGaN
Radiation: CuKα
Structure: DFT lattice parameters and positions (GGA-PBE)
Neutral-atom scattering factors, no anomalous dispersion.

Principal peaks in the range 2θ from 5° to 70°, in order of falling intensity:
- 2θ = 39.56°, d = 2.278 Å, intensity 100
- 2θ = 6.13°, d = 14.410 Å, intensity 30
- 2θ = 34.66°, d = 2.588 Å, intensity 25
- 2θ = 37.45°, d = 2.402 Å, intensity 20
- 2θ = 62.12°, d = 1.494 Å, intensity 19
- 2θ = 51.94°, d = 1.760 Å, intensity 17
- 2θ = 68.97°, d = 1.362 Å, intensity 13
- 2θ = 57.18°, d = 1.611 Å, intensity 9

Crystal structure
Unit cell a=2.9883 b=2.9883 c=14.4099 alpha=90.00 beta=90.00 gamma=120.00
Fractional positions:
Ta 0.0000 0.0000 0.1527
Ta 0.0000 0.0000 0.8473
Nb 0.3333 0.6667 0.3435
Nb 0.3333 0.6667 0.6565
Ga 0.0000 0.0000 0.5000
Ga 0.3333 0.6667 0.0000
N 0.6667 0.3333 0.2450
N 0.6667 0.3333 0.7550



Theoretical powder diffractogram
Compound: Ta3NbGa2N2
Radiation: CuKα
Structure: DFT lattice parameters and positions (GGA-PBE)
Neutral-atom scattering factors, no anomalous dispersion.

Principal peaks in the range 2θ from 5° to 70°, in order of falling intensity:
- 2θ = 39.56°, d = 2.278 Å, intensity 100
- 2θ = 34.62°, d = 2.591 Å, intensity 23
- 2θ = 37.62°, d = 2.391 Å, intensity 20
- 2θ = 62.05°, d = 1.496 Å, intensity 19
- 2θ = 6.16°, d = 14.345 Å, intensity 18
- 2θ = 52.05°, d = 1.757 Å, intensity 15
- 2θ = 69.20°, d = 1.358 Å, intensity 13
- 2θ = 35.20°, d = 2.549 Å, intensity 12

Crystal structure
Unit cell a=2.9915 b=2.9915 c=14.3452 alpha=90.00 beta=90.00 gamma=120.00
Fractional positions:
Ta 0.0000 0.0000 0.0000
Ta 0.0000 0.0000 0.3062
Ta 0.3333 0.6667 0.8089
Nb 0.3333 0.6667 0.4984
Ga 0.0000 0.0000 0.6542
Ga 0.3333 0.6667 0.1536
N 0.6667 0.3333 0.4004
N 0.6667 0.3333 0.9043



Please write out number 1 again, unchanged.
Theoretical powder diffractogram
Compound: Ga20SbMo4
Radiation: CuKα
Structure: DFT lattice parameters and positions (GGA-PBE)
Neutral-atom scattering factors, no anomalous dispersion.

Principal peaks in the range 2θ from 5° to 70°, in order of falling intensity:
- 2θ = 46.24°, d = 1.963 Å, intensity 100
- 2θ = 40.47°, d = 2.229 Å, intensity 96
- 2θ = 38.54°, d = 2.336 Å, intensity 83
- 2θ = 35.09°, d = 2.557 Å, intensity 65
- 2θ = 40.36°, d = 2.235 Å, intensity 57
- 2θ = 44.07°, d = 2.055 Å, intensity 48
- 2θ = 21.63°, d = 4.109 Å, intensity 41
- 2θ = 41.06°, d = 2.198 Å, intensity 38

Crystal structure
Unit cell a=9.5670 b=9.5670 c=9.5670 alpha=94.44 beta=94.44 gamma=147.68
Fractional positions:
Ga 0.0000 0.0000 0.5000
Ga 0.0000 0.5000 0.0000
Ga 0.0567 0.2100 0.2668
Ga 0.1128 0.8157 0.4284
Ga 0.1843 0.6126 0.2970
Ga 0.2100 0.9433 0.1533
Ga 0.3156 0.8872 0.7030
Ga 0.3650 0.4281 0.7931
Ga 0.3874 0.6844 0.5716
Ga 0.4281 0.6350 0.0631
Ga 0.5000 0.0000 0.0000
Ga 0.5000 0.5000 0.5000
Ga 0.5719 0.3650 0.9369
Ga 0.6126 0.3156 0.4284
Ga 0.6350 0.5719 0.2069
Ga 0.6844 0.1128 0.2970
Ga 0.7900 0.0567 0.8467
Ga 0.8157 0.3874 0.7030
Ga 0.8872 0.1843 0.5716
Ga 0.9433 0.7900 0.7332
Sb 0.0000 0.0000 0.0000
Mo 0.2322 0.5811 0.8133
Mo 0.4189 0.2322 0.6511
Mo 0.5811 0.7678 0.3489
Mo 0.7678 0.4189 0.1867